Entry 1:
BiIO6: calculated PXRD pattern (Cu Ka), based on a structure optimized by DFT (GGA-PBE).
Intensities are scaled so that the largest is 100.

Most intense lines, 10 to 80 degrees two-theta, low angle first:
two_theta  I/Imax  (hkl)
23.62  100  0 1 2
32.78  40  1 0 4
34.49  27  1 1 0
42.23  19  2 0 2
48.32  15  0 2 4
53.29  27  1 1 6
55.62  18  1 2 2
57.39  8  0 1 8
60.71  15  2 1 4
61.79  10  3 0 0

```
data_BiIO6
_chemical_formula_sum 'Bi3 I3 O18'
_cell_length_a 5.2009
_cell_length_b 5.2009
_cell_length_c 13.7478
_cell_angle_alpha 90.00
_cell_angle_beta 90.00
_cell_angle_gamma 120.00
_symmetry_space_group_name_H-M 'R -3'
_symmetry_Int_Tables_number 148
_symmetry_space_group_name_Hall '-R 3'
loop_
_atom_site_label
_atom_site_type_symbol
_atom_site_fract_x
_atom_site_fract_y
_atom_site_fract_z
Bi1 Bi 0.0000 0.0000 0.0000
I1 I 0.0000 0.0000 0.5000
O1 O 0.0045 0.6988 0.5778
```

=====

Entry 2:
BiI2O6: calculated PXRD pattern (Cu Ka), based on a structure optimized by DFT (GGA-PBE).
Intensities are scaled so that the largest is 100.

Most intense lines, 10 to 80 degrees two-theta, low angle first:
two_theta  I/Imax  (hkl)
12.10  71  1 1 0
17.83  100  1 1 -1
21.76  54  0 2 1
24.34  55  2 2 0
26.96  79  0 0 2
27.18  64  1 3 0
27.35  95  3 1 0
28.20  53  2 2 1
29.95  38  1 1 2
38.04  40  3 1 -2

```
data_BiI2O6
_chemical_formula_sum 'Bi4 I8 O24'
_cell_length_a 10.3117
_cell_length_b 10.3839
_cell_length_c 6.6201
_cell_angle_alpha 90.00
_cell_angle_beta 92.19
_cell_angle_gamma 90.00
_symmetry_space_group_name_H-M 'C 1 2/c 1'
_symmetry_Int_Tables_number 15
_symmetry_space_group_name_Hall '-C 2yc'
loop_
_atom_site_label
_atom_site_type_symbol
_atom_site_fract_x
_atom_site_fract_y
_atom_site_fract_z
Bi1 Bi 0.0000 0.0318 0.2500
I1 I 0.1685 0.3670 0.3092
O1 O 0.0717 0.3810 0.0744
O2 O 0.1680 0.1891 0.3398
O3 O 0.1719 0.1111 0.8078
```

=====

Entry 3:
Pm2BiIO8: calculated PXRD pattern (Cu Ka), based on a structure optimized by DFT (GGA-PBE).
Intensities are scaled so that the largest is 100.

Most intense lines, 10 to 80 degrees two-theta, low angle first:
two_theta  I/Imax  (hkl)
24.24  56  0 2 0
24.58  51  2 0 0
30.64  100  1 1 2
34.79  29  2 2 0
46.83  40  1 3 2
47.22  36  3 1 2
56.68  10  4 2 0
57.83  11  0 2 4
59.81  21  3 3 2
63.79  12  2 2 4

```
data_Pm2BiIO8
_chemical_formula_sum 'Pm4 Bi2 I2 O16'
_cell_length_a 7.2425
_cell_length_b 7.3445
_cell_length_c 7.0789
_cell_angle_alpha 90.00
_cell_angle_beta 90.00
_cell_angle_gamma 90.00
_symmetry_space_group_name_H-M 'C m m m'
_symmetry_Int_Tables_number 65
_symmetry_space_group_name_Hall '-C 2 2'
loop_
_atom_site_label
_atom_site_type_symbol
_atom_site_fract_x
_atom_site_fract_y
_atom_site_fract_z
Pm1 Pm 0.0000 0.0000 0.2485
Bi1 Bi 0.0000 0.5000 0.5000
I1 I 0.0000 0.5000 0.0000
O1 O 0.0000 0.3219 0.1999
O2 O 0.1892 0.0000 0.5000
O3 O 0.2375 0.0000 0.0000
```

=====

Entry 4:
RbBi2IO8: calculated PXRD pattern (Cu Ka), based on a structure optimized by DFT (GGA-PBE).
Intensities are scaled so that the largest is 100.

Most intense lines, 10 to 80 degrees two-theta, low angle first:
two_theta  I/Imax  (hkl)
17.14  23  0 1 0
25.27  90  1 -1 0
25.44  100  1 1 0
28.90  100  0 1 -2
29.38  58  1 0 -2
30.17  54  1 0 2
34.68  38  0 2 0
37.59  21  2 0 0
47.48  20  -2 1 2
53.83  22  -1 1 4

```
data_RbBi2IO8
_chemical_formula_sum 'Rb1 Bi2 I1 O8'
_cell_length_a 4.7869
_cell_length_b 5.1730
_cell_length_c 7.7069
_cell_angle_alpha 90.05
_cell_angle_beta 91.52
_cell_angle_gamma 90.39
_symmetry_space_group_name_H-M 'P -1'
_symmetry_Int_Tables_number 2
_symmetry_space_group_name_Hall '-P 1'
loop_
_atom_site_label
_atom_site_type_symbol
_atom_site_fract_x
_atom_site_fract_y
_atom_site_fract_z
Rb1 Rb 0.0000 0.0000 0.0000
Bi1 Bi 0.4921 0.4966 0.7341
I1 I 0.0000 0.0000 0.5000
O1 O 0.1931 0.8312 0.3221
O2 O 0.2209 0.8556 0.6839
O3 O 0.2529 0.2982 0.4904
O4 O 0.2703 0.4840 0.0009
```